Starting from the GGA+U geometry in the Materials Project, the X-ray powder pattern of FeTeP2O8 was simulated for Cu Kα (weighted mean of Kα1 and Kα2).
Neutral-atom scattering factors, no anomalous dispersion.

Main lines, most intense first (10 to 80 degrees two-theta):
2θ (°)	d_spacing	I_rel	(hkl)
26.51	3.362	100	0 2 0
17.82	4.977	72	0 0 2
21.32	4.168	40	1 0 -1
15.91	5.572	39	0 1 -1
23.32	3.815	38	1 1 1
23.55	3.778	35	1 -1 1
33.41	2.682	29	1 1 3
25.06	3.554	28	1 1 -1

Cell and atoms:
```
24
Lattice="4.899 0.000 0.000 0.067 6.725 0.000 1.249 0.027 9.955" Properties=species:S:1:pos:R:3 pbc="T T T"
Fe 0.529 1.636 2.639
Fe 5.686 5.115 7.316
Te 3.157 1.730 7.948
Te 3.057 5.022 2.006
P 1.033 5.059 3.962
P 3.020 5.058 9.056
P 3.194 1.694 0.899
P 5.182 1.693 5.992
O 1.359 5.054 5.433
O 1.799 1.707 6.233
O 2.338 6.266 8.351
O 2.340 3.831 8.355
O 1.434 5.027 0.636
O 1.769 6.248 3.179
O 1.779 3.866 3.181
O 1.671 1.694 1.011
O 4.544 5.057 8.944
O 4.436 2.886 6.774
O 4.446 0.503 6.776
O 4.781 1.725 9.319
O 3.874 2.920 1.600
O 3.877 0.486 1.604
O 4.415 5.044 3.721
O 4.856 1.698 4.522
```